(1)
The following is a theoretical PXRD pattern of PmTmFe. It was derived from DFT lattice parameters and positions (GGA-PBE), using Cu Kα.

Crystal structure
a b c (Å): 6.9370 6.9370 7.3023
angles (deg): 90.00 90.00 120.59
Fractional positions:
Pm1 0.1976 0.8024 0.8873
Pm2 0.3024 0.6976 0.3873
Pm3 0.6976 0.3024 0.6127
Pm4 0.8024 0.1976 0.1127
Tm1 0.2087 0.2913 0.7500
Tm2 0.2913 0.2087 0.2500
Tm3 0.7087 0.7913 0.7500
Tm4 0.7913 0.7087 0.2500
Fe1 0.0903 0.9097 0.5415
Fe2 0.4097 0.5903 0.0415
Fe3 0.5903 0.4097 0.9585
Fe4 0.9097 0.0903 0.4585

Most intense lines, 2θ = 15–90°, by angle:
| 2theta | I_rel |
| --- | --- |
| 28.55 | 70 |
| 28.66 | 59 |
| 29.93 | 100 |
| 32.14 | 75 |
| 32.40 | 70 |
| 35.88 | 65 |
| 38.97 | 39 |
| 39.96 | 38 |
| 41.59 | 40 |
| 52.36 | 36 |
| 54.38 | 43 |
| 55.40 | 35 |


(2)
The following is a theoretical PXRD pattern of RbLiTb2Br8. It was derived from DFT lattice parameters and positions (GGA-PBE), using Cu Kα.

Crystal structure
a b c (Å): 7.0837 8.7455 7.2757
angles (deg): 90.00 98.30 90.00
Fractional positions:
Rb1 0.0000 0.0000 0.0000
Li1 0.0000 0.5000 0.0000
Tb1 0.5000 0.2593 0.5000
Tb2 0.5000 0.7407 0.5000
Br1 0.2512 0.2889 0.1707
Br2 0.2512 0.7111 0.1707
Br3 0.2846 0.5000 0.6390
Br4 0.2974 0.0000 0.6287
Br5 0.7026 0.0000 0.3713
Br6 0.7154 0.5000 0.3610
Br7 0.7488 0.2889 0.8293
Br8 0.7488 0.7111 0.8293

Most intense lines, 2θ = 15–90°, by angle:
| 2theta | I_rel |
| --- | --- |
| 16.33 | 80 |
| 18.90 | 36 |
| 23.99 | 25 |
| 26.16 | 100 |
| 29.49 | 47 |
| 33.33 | 25 |
| 33.72 | 75 |
| 36.43 | 31 |
| 38.34 | 22 |
| 41.29 | 24 |
| 43.00 | 64 |
| 47.41 | 25 |


(3)
The following is a theoretical PXRD pattern of Pm4HgPd4. It was derived from DFT lattice parameters and positions (GGA-PBE), using Cu Kα.

Crystal structure
a b c (Å): 8.9465 8.9465 5.7259
angles (deg): 90.00 90.00 90.00
Fractional positions:
Pm1 0.0405 0.6868 0.0852
Pm2 0.1868 0.9595 0.5852
Pm3 0.3132 0.5405 0.5852
Pm4 0.4595 0.8132 0.0852
Pm5 0.5405 0.1868 0.9148
Pm6 0.6868 0.4595 0.4148
Pm7 0.8132 0.0405 0.4148
Pm8 0.9595 0.3132 0.9148
Hg1 0.2500 0.2500 0.2500
Hg2 0.7500 0.7500 0.7500
Pd1 0.0157 0.6500 0.5783
Pd2 0.1500 0.9843 0.0783
Pd3 0.3500 0.5157 0.0783
Pd4 0.4843 0.8500 0.5783
Pd5 0.5157 0.1500 0.4217
Pd6 0.6500 0.4843 0.9217
Pd7 0.8500 0.0157 0.9217
Pd8 0.9843 0.3500 0.4217

Most intense lines, 2θ = 15–90°, by angle:
| 2theta | I_rel |
| --- | --- |
| 18.40 | 17 |
| 27.19 | 32 |
| 31.63 | 100 |
| 32.85 | 31 |
| 34.38 | 10 |
| 38.67 | 31 |
| 42.59 | 14 |
| 45.05 | 15 |
| 45.33 | 28 |
| 48.55 | 22 |
| 52.95 | 21 |
| 66.07 | 10 |


(4)
The following is a theoretical PXRD pattern of Si2GePbO8. It was derived from DFT lattice parameters and positions (GGA-PBE), using Cu Kα.

Crystal structure
a b c (Å): 5.0860 5.0860 7.0654
angles (deg): 90.00 90.00 120.00
Fractional positions:
Si1 0.3333 0.6667 0.2202
Si2 0.6667 0.3333 0.7798
Ge1 0.0000 0.0000 0.0000
Pb1 0.0000 0.0000 0.5000
O1 0.0734 0.3242 0.1613
O2 0.2508 0.9266 0.1613
O3 0.3242 0.2508 0.8387
O4 0.3333 0.6667 0.4559
O5 0.6667 0.3333 0.5441
O6 0.6758 0.7492 0.1613
O7 0.7492 0.0734 0.8387
O8 0.9266 0.6758 0.8387

Most intense lines, 2θ = 15–90°, by angle:
| 2theta | I_rel |
| --- | --- |
| 20.16 | 100 |
| 23.81 | 39 |
| 25.21 | 14 |
| 32.49 | 84 |
| 35.29 | 44 |
| 37.59 | 23 |
| 43.87 | 35 |
| 48.72 | 32 |
| 55.17 | 13 |
| 56.10 | 14 |
| 61.58 | 29 |
| 64.20 | 18 |